The following is a theoretical powder XRD pattern of CrH12C8S2N2O2. It was derived from a DFT-relaxed cell (GGA+U, the Materials Project), using a wavelength of 1.5418 Å.

Top 12 peaks for 15° ≤ 2θ ≤ 90°, in order of rising 2θ:
2θ/deg, Rel. int., (hkl)
17.38, 42, 1 0 -1
18.37, 41, 0 1 1
20.49, 36, 1 1 0
21.33, 87, -1 1 1
22.61, 41, 0 1 -2
23.00, 70, 0 2 0
26.32, 100, 1 1 1
27.64, 54, 0 2 -2
29.68, 41, 1 2 0
29.91, 29, 1 0 2
36.00, 25, 0 2 -3
37.23, 33, 0 2 2

Crystal structure
```
CrH12C8S2N2O2
1.0
5.9486 0.0000 0.0000
-0.9147 8.0581 0.0000
-1.1404 -2.2753 7.7385
Cr H C S N O
1 12 8 2 2 2
direct
0.0000 0.0000 0.0000 Cr
0.0388 0.7488 0.5037 H
0.0736 0.5578 0.3515 H
0.1896 0.3527 0.6736 H
0.3946 0.6760 0.1863 H
0.4329 0.9060 0.2323 H
0.4458 0.8006 0.4035 H
0.5542 0.1994 0.5965 H
0.5671 0.0940 0.7677 H
0.6054 0.3240 0.8137 H
0.8104 0.6473 0.3264 H
0.9264 0.4422 0.6485 H
0.9612 0.2512 0.4963 H
0.0025 0.3230 0.6348 C
0.1065 0.7841 0.2648 C
0.3605 0.7965 0.2732 C
0.3879 0.8016 0.8315 C
0.6121 0.1984 0.1685 C
0.6395 0.2035 0.7268 C
0.8935 0.2159 0.7352 C
0.9975 0.6770 0.3652 C
0.3921 0.2752 0.2372 S
0.6079 0.7248 0.7628 S
0.2265 0.8589 0.8811 N
0.7735 0.1411 0.1189 N
0.0164 0.1430 0.8216 O
0.9836 0.8570 0.1784 O
```